# Fe3Ni6Pt2
Simulated PXRD pattern, a wavelength of 1.5418 Å. Input: a GGA-PBE-relaxed structure.

Principal peaks in the range 10° ≤ 2θ ≤ 80°, in order of rising 2θ:
2θ = 14.23°, rel. 23; 2θ = 21.18°, rel. 34; 2θ = 24.62°, rel. 20; 2θ = 29.41°, rel. 27; 2θ = 35.70°, rel. 15; 2θ = 43.14°, rel. 51; 2θ = 43.19°, rel. 100; 2θ = 43.63°, rel. 47; 2θ = 50.26°, rel. 31; 2θ = 50.44°, rel. 33; 2θ = 50.55°, rel. 30; 2θ = 74.36°, rel. 19

Structural model:
a b c (Å): 5.128 5.140 6.730
angles (deg): 100.89 101.09 119.83
Positions (direct):
Fe1 0.000 0.000 0.000
Fe2 0.009 0.646 0.673
Fe3 0.495 0.816 0.314
Ni1 0.002 0.151 0.668
Ni2 0.485 0.460 0.997
Ni3 0.498 0.308 0.327
Ni4 0.505 0.145 0.663
Ni5 0.987 0.307 0.323
Ni6 0.997 0.480 0.991
Pt1 0.503 0.648 0.669
Pt2 0.993 0.808 0.324